1.
SbHC2O5: calculated X-ray powder pattern (Cu Ka), based on DFT lattice parameters and positions (GGA-PBE).

Cell and atoms:
```
data_SbHC2O5
_chemical_formula_sum 'Sb4 H4 C8 O20'
_symmetry_space_group_name_H-M 'P 21 21 21'
_symmetry_Int_Tables_number 19
_cell_length_a 6.040
_cell_length_b 6.539
_cell_length_c 11.404
_cell_angle_alpha 90.00
_cell_angle_beta 90.00
_cell_angle_gamma 90.00
loop_
_symmetry_equiv_pos_as_xyz
'x,y,z'
'-x+1/2,-y,z+1/2'
'x+1/2,-y+1/2,-z'
'-x,y+1/2,-z+1/2'
loop_
_atom_site_label
_atom_site_fract_x
_atom_site_fract_y
_atom_site_fract_z
Sb1 0.077 0.021 0.495
H1 0.115 0.396 0.544
C1 0.137 0.036 0.772
C2 0.151 0.066 0.224
O1 0.005 0.117 0.298
O2 0.006 0.596 0.800
O3 0.119 0.050 0.884
O4 0.139 0.094 0.114
O5 0.218 0.300 0.506
```

Top 10 peaks for 5 to 70 degrees two-theta, sorted by position:
2θ 15.55, d = 5.697 Å, I 58, (0 0 2)
2θ 20.01, d = 4.437 Å, I 57, (1 1 0)
2θ 21.49, d = 4.135 Å, I 100, (1 1 1)
2θ 27.28, d = 3.269 Å, I 36, (0 2 0)
2θ 30.98, d = 2.887 Å, I 46, (1 1 3)
2θ 31.38, d = 2.851 Å, I 20, (0 0 4)
2θ 38.06, d = 2.364 Å, I 23, (2 0 3)
2θ 44.68, d = 2.028 Å, I 32, (1 1 5)
2θ 47.45, d = 1.916 Å, I 16, (2 2 3)
2θ 50.03, d = 1.823 Å, I 16, (3 1 2)

***

2.
Tm4Mg3: calculated X-ray powder pattern (Cu Ka), based on DFT lattice parameters and positions (GGA-PBE).

Cell and atoms:
```
data_Tm4Mg3
_chemical_formula_sum 'Tm16 Mg12'
_symmetry_space_group_name_H-M 'I -4 3 d'
_symmetry_Int_Tables_number 220
_symmetry_space_group_name_Hall 'I -4bd 2c 3'
_cell_length_a 9.319
_cell_length_b 9.319
_cell_length_c 9.319
_cell_angle_alpha 90.00
_cell_angle_beta 90.00
_cell_angle_gamma 90.00
loop_
_atom_site_label
_atom_site_fract_x
_atom_site_fract_y
_atom_site_fract_z
Tm1 0.078 0.422 0.578
Mg1 0.000 0.250 0.875
```

Top 10 peaks for 5 to 70 degrees two-theta, sorted by position:
2θ 23.38, d = 3.804 Å, I 89, (2 1 1)
2θ 27.06, d = 3.295 Å, I 18, (2 2 0)
2θ 30.33, d = 2.947 Å, I 100, (3 1 0)
2θ 36.06, d = 2.491 Å, I 95, (3 2 1)
2θ 47.82, d = 1.902 Å, I 44, (4 2 2)
2θ 49.90, d = 1.828 Å, I 53, (4 3 1)
2θ 61.32, d = 1.512 Å, I 29, (6 1 1)
2θ 63.10, d = 1.473 Å, I 16, (6 2 0)
2θ 64.84, d = 1.438 Å, I 20, (5 4 1)
2θ 68.26, d = 1.374 Å, I 12, (6 3 1)

***

3.
Sr2W3: calculated X-ray powder pattern (Cu Ka), based on DFT lattice parameters and positions (GGA-PBE).

Cell and atoms:
```
data_Sr2W3
_chemical_formula_sum 'Sr6 W9'
_symmetry_space_group_name_H-M 'R -3 m'
_symmetry_Int_Tables_number 166
_symmetry_space_group_name_Hall '-R 3 2"'
_cell_length_a 3.1723
_cell_length_b 3.1723
_cell_length_c 39.4178
_cell_angle_alpha 90.00
_cell_angle_beta 90.00
_cell_angle_gamma 120.00
loop_
_atom_site_label
_atom_site_fract_x
_atom_site_fract_y
_atom_site_fract_z
Sr1 0.0000 0.0000 0.0981
W1 0.0000 0.0000 0.3110
W2 0.0000 0.0000 0.5000
```

Top 10 peaks for 5 to 70 degrees two-theta, sorted by position:
2θ 6.73, d = 13.139 Å, I 27, (0 0 3)
2θ 13.48, d = 6.570 Å, I 47, (0 0 6)
2θ 34.12, d = 2.628 Å, I 21, (0 0 15)
2θ 34.57, d = 2.594 Å, I 100, (0 1 5)
2θ 40.00, d = 2.254 Å, I 56, (1 0 10)
2θ 41.41, d = 2.180 Å, I 15, (0 1 11)
2θ 49.71, d = 1.834 Å, I 11, (1 0 16)
2θ 58.16, d = 1.586 Å, I 24, (1 1 0)
2θ 69.18, d = 1.358 Å, I 16, (1 1 15)
2θ 69.45, d = 1.353 Å, I 13, (2 0 5)

***

4.
Cs2AlTl2F6: calculated X-ray powder pattern (Cu Ka), based on DFT lattice parameters and positions (GGA-PBE).

Cell and atoms:
```
data_Cs2AlTl2F6
_chemical_formula_sum 'Cs4 Al2 Tl4 F12'
_symmetry_space_group_name_H-M 'C 1 2/m 1'
_symmetry_Int_Tables_number 12
_cell_length_a 6.908
_cell_length_b 12.109
_cell_length_c 7.022
_cell_angle_alpha 90.00
_cell_angle_beta 96.08
_cell_angle_gamma 90.00
loop_
_symmetry_equiv_pos_as_xyz
'x,y,z'
'-x,-y,-z'
'-x,y,-z'
'x,-y,z'
'x+1/2,y+1/2,z'
'-x+1/2,-y+1/2,-z'
'-x+1/2,y+1/2,-z'
'x+1/2,-y+1/2,z'
loop_
_atom_site_label
_atom_site_fract_x
_atom_site_fract_y
_atom_site_fract_z
Cs1 0.000 0.164 0.000
Al1 0.000 0.500 0.000
Tl1 0.000 0.368 0.500
F1 0.129 0.391 0.148
F2 0.197 0.500 0.840
```

Top 10 peaks for 5 to 70 degrees two-theta, sorted by position:
2θ 14.83, d = 5.975 Å, I 57, (1 1 0)
2θ 18.64, d = 4.761 Å, I 78, (1 1 -1)
2θ 20.43, d = 4.346 Å, I 67, (1 1 1)
2θ 25.51, d = 3.491 Å, I 70, (0 0 2)
2θ 25.94, d = 3.434 Å, I 67, (2 0 0)
2θ 28.03, d = 3.184 Å, I 77, (1 3 -1)
2θ 29.28, d = 3.050 Å, I 100, (1 3 1)
2θ 29.51, d = 3.027 Å, I 40, (0 4 0)
2θ 34.64, d = 2.589 Å, I 43, (2 0 -2)
2θ 39.41, d = 2.286 Å, I 39, (0 4 2)

***

5.
KCdInSbBr: calculated X-ray powder pattern (Cu Ka), based on DFT lattice parameters and positions (GGA-PBE).

Cell and atoms:
```
data_KCdInSbBr
_chemical_formula_sum 'K2 Cd2 In2 Sb2 Br2'
_symmetry_space_group_name_H-M 'C 1 m 1'
_symmetry_Int_Tables_number 8
_cell_length_a 11.660
_cell_length_b 4.539
_cell_length_c 7.782
_cell_angle_alpha 90.00
_cell_angle_beta 114.22
_cell_angle_gamma 90.00
loop_
_symmetry_equiv_pos_as_xyz
'x,y,z'
'x,-y,z'
'x+1/2,y+1/2,z'
'x+1/2,-y+1/2,z'
loop_
_atom_site_label
_atom_site_fract_x
_atom_site_fract_y
_atom_site_fract_z
K1 0.000 0.000 0.000
Cd1 0.392 0.000 0.360
In1 0.151 0.500 0.461
Sb1 0.298 0.000 0.639
Br1 0.236 0.500 0.100
```

Top 10 peaks for 5 to 70 degrees two-theta, sorted by position:
2θ 12.47, d = 7.097 Å, I 77, (0 0 1)
2θ 16.67, d = 5.317 Å, I 37, (2 0 0)
2θ 21.28, d = 4.174 Å, I 40, (1 1 0)
2θ 23.76, d = 3.745 Å, I 62, (2 0 -2)
2θ 26.46, d = 3.369 Å, I 100, (1 1 1)
2θ 30.32, d = 2.948 Å, I 37, (1 1 -2)
2θ 32.04, d = 2.794 Å, I 62, (3 1 0)
2θ 32.78, d = 2.732 Å, I 38, (4 0 -2)
2θ 38.25, d = 2.353 Å, I 39, (3 1 1)
2θ 40.70, d = 2.217 Å, I 43, (1 1 -3)

***

6.
NdY7Ho3: calculated X-ray powder pattern (Cu Ka), based on DFT lattice parameters and positions (GGA-PBE).

Cell and atoms:
```
data_NdY7Ho3
_chemical_formula_sum 'Nd1 Y7 Ho3'
_symmetry_space_group_name_H-M 'P 1 2/m 1'
_symmetry_Int_Tables_number 10
_cell_length_a 6.929
_cell_length_b 5.567
_cell_length_c 9.978
_cell_angle_alpha 90.00
_cell_angle_beta 109.28
_cell_angle_gamma 90.00
loop_
_symmetry_equiv_pos_as_xyz
'x,y,z'
'-x,-y,-z'
'-x,y,-z'
'x,-y,z'
loop_
_atom_site_label
_atom_site_fract_x
_atom_site_fract_y
_atom_site_fract_z
Nd1 0.000 0.000 0.000
Y1 0.000 0.000 0.500
Y2 0.148 0.500 0.788
Y3 0.323 0.500 0.140
Y4 0.425 0.000 0.331
Ho1 0.277 0.500 0.496
Ho2 0.500 0.000 0.000
```

Top 10 peaks for 5 to 70 degrees two-theta, sorted by position:
2θ 18.51, d = 4.792 Å, I 24, (0 1 1)
2θ 18.84, d = 4.709 Å, I 27, (0 0 2)
2θ 31.63, d = 2.829 Å, I 23, (1 1 -3)
2θ 31.75, d = 2.818 Å, I 100, (2 1 0)
2θ 32.02, d = 2.795 Å, I 66, (2 1 -2)
2θ 32.16, d = 2.783 Å, I 61, (0 2 0)
2θ 32.36, d = 2.767 Å, I 25, (2 0 -3)
2θ 32.75, d = 2.735 Å, I 73, (0 1 3)
2θ 46.26, d = 1.963 Å, I 25, (2 2 -3)
2θ 57.71, d = 1.597 Å, I 28, (0 3 3)

***

7.
NdYSiPt: calculated X-ray powder pattern (Cu Ka), based on DFT lattice parameters and positions (GGA-PBE).

Cell and atoms:
```
data_NdYSiPt
_chemical_formula_sum 'Nd2 Y2 Si2 Pt2'
_symmetry_space_group_name_H-M 'A m m 2'
_symmetry_Int_Tables_number 38
_cell_length_a 4.202
_cell_length_b 4.094
_cell_length_c 10.949
_cell_angle_alpha 90.00
_cell_angle_beta 90.00
_cell_angle_gamma 90.00
loop_
_symmetry_equiv_pos_as_xyz
'x,y,z'
'-x,-y,z'
'-x,y,z'
'x,-y,z'
'x,y+1/2,z+1/2'
'-x,-y+1/2,z+1/2'
'-x,y+1/2,z+1/2'
'x,-y+1/2,z+1/2'
loop_
_atom_site_label
_atom_site_fract_x
_atom_site_fract_y
_atom_site_fract_z
Nd1 0.000 0.000 0.000
Y1 0.500 0.000 0.720
Si1 0.500 0.000 0.426
Pt1 0.000 0.000 0.279
```

Top 10 peaks for 5 to 70 degrees two-theta, sorted by position:
2θ 21.14, d = 4.202 Å, I 33, (1 0 0)
2θ 23.19, d = 3.835 Å, I 19, (0 1 1)
2θ 31.58, d = 2.833 Å, I 100, (1 1 1)
2θ 32.72, d = 2.737 Å, I 29, (0 0 4)
2θ 32.87, d = 2.724 Å, I 42, (0 1 3)
2θ 39.28, d = 2.294 Å, I 30, (1 0 4)
2θ 39.42, d = 2.286 Å, I 66, (1 1 3)
2θ 43.05, d = 2.101 Å, I 24, (2 0 0)
2θ 44.24, d = 2.047 Å, I 22, (0 2 0)
2θ 55.21, d = 1.664 Å, I 19, (2 1 3)

***

8.
Dy7Tl3Ga: calculated X-ray powder pattern (Cu Ka), based on DFT lattice parameters and positions (GGA-PBE).

Cell and atoms:
```
data_Dy7Tl3Ga
_chemical_formula_sum 'Dy14 Tl6 Ga2'
_symmetry_space_group_name_H-M 'I m m m'
_symmetry_Int_Tables_number 71
_symmetry_space_group_name_Hall '-I 2 2'
_cell_length_a 5.725
_cell_length_b 9.677
_cell_length_c 11.462
_cell_angle_alpha 90.00
_cell_angle_beta 90.00
_cell_angle_gamma 90.00
loop_
_atom_site_label
_atom_site_fract_x
_atom_site_fract_y
_atom_site_fract_z
Dy1 0.000 0.000 0.000
Dy2 0.000 0.194 0.500
Dy3 0.000 0.327 0.229
Tl1 0.000 0.000 0.271
Tl2 0.000 0.500 0.000
Ga1 0.000 0.500 0.500
```

Top 10 peaks for 5 to 70 degrees two-theta, sorted by position:
2θ 25.32, d = 3.517 Å, I 21, (1 2 1)
2θ 31.23, d = 2.864 Å, I 100, (2 0 0)
2θ 31.84, d = 2.810 Å, I 13, (1 3 0)
2θ 33.74, d = 2.656 Å, I 38, (1 2 3)
2θ 35.58, d = 2.523 Å, I 92, (1 3 2)
2θ 44.75, d = 2.025 Å, I 34, (2 0 4)
2θ 58.44, d = 1.579 Å, I 37, (3 3 2)
2θ 61.99, d = 1.497 Å, I 13, (1 2 7)
2θ 65.15, d = 1.432 Å, I 10, (4 0 0)
2θ 66.54, d = 1.405 Å, I 21, (2 6 0)

***

9.
UH12Rh7: calculated X-ray powder pattern (Cu Ka), based on DFT lattice parameters and positions (GGA-PBE).

Cell and atoms:
```
data_UH12Rh7
_chemical_formula_sum 'U3 H36 Rh21'
_symmetry_space_group_name_H-M 'R -3 m'
_symmetry_Int_Tables_number 166
_symmetry_space_group_name_Hall '-R 3 2"'
_cell_length_a 9.6726
_cell_length_b 9.6726
_cell_length_c 8.3105
_cell_angle_alpha 90.00
_cell_angle_beta 90.00
_cell_angle_gamma 120.00
loop_
_atom_site_label
_atom_site_fract_x
_atom_site_fract_y
_atom_site_fract_z
U1 0.0000 0.0000 0.0000
H1 0.0000 0.3807 0.5000
H2 0.0855 0.1711 0.3643
Rh1 0.0000 0.0000 0.5000
Rh2 0.0974 0.1947 0.7607
```

Top 10 peaks for 5 to 70 degrees two-theta, sorted by position:
2θ 15.02, d = 5.900 Å, I 28, (1 0 1)
2θ 18.34, d = 4.836 Å, I 100, (1 1 0)
2θ 30.24, d = 2.955 Å, I 62, (2 0 2)
2θ 35.65, d = 2.518 Å, I 51, (1 2 2)
2θ 40.31, d = 2.237 Å, I 12, (1 3 1)
2θ 44.67, d = 2.029 Å, I 59, (3 1 2)
2θ 44.95, d = 2.017 Å, I 28, (1 0 4)
2θ 46.16, d = 1.967 Å, I 28, (0 3 3)
2θ 48.67, d = 1.871 Å, I 19, (0 4 2)
2θ 57.14, d = 1.612 Å, I 19, (3 3 0)

***

10.
Sr3Cu2RuO8: calculated X-ray powder pattern (Cu Ka), based on DFT lattice parameters and positions (GGA-PBE).

Cell and atoms:
```
data_Sr3Cu2RuO8
_chemical_formula_sum 'Sr3 Cu2 Ru1 O8'
_symmetry_space_group_name_H-M 'P -3 m 1'
_symmetry_Int_Tables_number 164
_symmetry_space_group_name_Hall '-P 3 2"'
_cell_length_a 5.5820
_cell_length_b 5.5820
_cell_length_c 7.2950
_cell_angle_alpha 90.00
_cell_angle_beta 90.00
_cell_angle_gamma 120.00
loop_
_atom_site_label
_atom_site_fract_x
_atom_site_fract_y
_atom_site_fract_z
Sr1 0.0000 0.0000 0.0000
Sr2 0.3333 0.6667 0.6323
Cu1 0.3333 0.6667 0.1943
Ru1 0.0000 0.0000 0.5000
O1 0.1620 0.3240 0.3382
O2 0.3333 0.6667 0.9512
```

Top 10 peaks for 5 to 70 degrees two-theta, sorted by position:
2θ 12.13, d = 7.295 Å, I 16, (0 0 1)
2θ 30.71, d = 2.912 Å, I 77, (0 1 2)
2θ 32.07, d = 2.791 Å, I 100, (1 1 0)
2θ 41.57, d = 2.172 Å, I 11, (0 1 3)
2θ 44.99, d = 2.015 Å, I 45, (2 0 2)
2θ 53.72, d = 1.706 Å, I 15, (1 0 4)
2θ 56.32, d = 1.634 Å, I 28, (1 2 2)
2θ 57.16, d = 1.611 Å, I 18, (3 0 0)
2θ 63.95, d = 1.456 Å, I 13, (0 2 4)
2θ 67.06, d = 1.396 Å, I 18, (2 2 0)

***

11.
Ac3Pr2Sm3: calculated X-ray powder pattern (Cu Ka), based on DFT lattice parameters and positions (GGA-PBE).

Cell and atoms:
```
data_Ac3Pr2Sm3
_chemical_formula_sum 'Ac6 Pr4 Sm6'
_symmetry_space_group_name_H-M 'P 63/m c m'
_symmetry_Int_Tables_number 193
_symmetry_space_group_name_Hall '-P 6c 2'
_cell_length_a 10.2397
_cell_length_b 10.2397
_cell_length_c 6.8720
_cell_angle_alpha 90.00
_cell_angle_beta 90.00
_cell_angle_gamma 120.00
loop_
_atom_site_label
_atom_site_fract_x
_atom_site_fract_y
_atom_site_fract_z
Ac1 0.0000 0.2314 0.2500
Pr1 0.3333 0.6667 0.0000
Sm1 0.0000 0.4135 0.7500
```

Top 10 peaks for 5 to 70 degrees two-theta, sorted by position:
2θ 25.93, d = 3.436 Å, I 17, (0 0 2)
2θ 26.60, d = 3.352 Å, I 30, (2 1 0)
2θ 29.65, d = 3.013 Å, I 100, (2 1 1)
2θ 30.24, d = 2.956 Å, I 14, (3 0 0)
2θ 31.35, d = 2.853 Å, I 38, (1 1 2)
2θ 48.11, d = 1.891 Å, I 27, (2 1 3)
2θ 48.89, d = 1.863 Å, I 15, (4 0 2)
2θ 55.48, d = 1.656 Å, I 13, (3 3 1)
2θ 58.57, d = 1.576 Å, I 17, (5 0 2)
2θ 60.57, d = 1.529 Å, I 14, (3 3 2)

***

12.
CoBiS2: calculated X-ray powder pattern (Cu Ka), based on DFT lattice parameters and positions (GGA-PBE).

Cell and atoms:
```
data_CoBiS2
_chemical_formula_sum 'Co3 Bi3 S6'
_symmetry_space_group_name_H-M 'R -3 m'
_symmetry_Int_Tables_number 166
_symmetry_space_group_name_Hall '-R 3 2"'
_cell_length_a 3.4155
_cell_length_b 3.4155
_cell_length_c 23.7094
_cell_angle_alpha 90.00
_cell_angle_beta 90.00
_cell_angle_gamma 120.00
loop_
_atom_site_label
_atom_site_fract_x
_atom_site_fract_y
_atom_site_fract_z
Co1 0.0000 0.0000 0.0000
Bi1 0.0000 0.0000 0.5000
S1 0.0000 0.0000 0.3802
```

Top 10 peaks for 5 to 70 degrees two-theta, sorted by position:
2θ 11.20, d = 7.903 Å, I 38, (0 0 3)
2θ 22.50, d = 3.952 Å, I 65, (0 0 6)
2θ 30.45, d = 2.935 Å, I 53, (1 0 1)
2θ 31.16, d = 2.870 Å, I 100, (0 1 2)
2θ 33.87, d = 2.647 Å, I 44, (1 0 4)
2θ 40.49, d = 2.228 Å, I 21, (1 0 7)
2θ 43.21, d = 2.094 Å, I 60, (0 1 8)
2θ 49.26, d = 1.850 Å, I 31, (1 0 10)
2θ 53.67, d = 1.708 Å, I 32, (1 1 0)
2θ 58.92, d = 1.568 Å, I 29, (1 1 6)